(1)
Diffraction record for K2OsRhCl. The powder X-ray diffraction pattern is simulated, not measured: it uses DFT lattice parameters and positions (GGA-PBE) and Cu Kα (weighted mean of Kα1 and Kα2).
No peak broadening, texture or thermal motion is included.

Largest 8 diffraction maxima, in order of rising 2θ, 2θ from 10° to 90°:
(hkl)	Position (°2θ)	d/Å	intensity
1 0 0	13.83	6.402	100
1 1 0	19.61	4.527	43
2 0 0	27.87	3.201	53
2 1 0	31.24	2.863	29
2 2 0	39.83	2.263	19
1 0 2	42.09	2.147	13
2 0 2	49.07	1.856	21
2 1 2	51.24	1.783	15

```
data_K2OsRhCl
_chemical_formula_sum 'K2 Os1 Rh1 Cl1'
_symmetry_space_group_name_H-M 'P 4/m m m'
_symmetry_Int_Tables_number 123
_symmetry_space_group_name_Hall '-P 4 2'
_cell_length_a 6.402
_cell_length_b 6.402
_cell_length_c 4.558
_cell_angle_alpha 90.00
_cell_angle_beta 90.00
_cell_angle_gamma 90.00
loop_
_atom_site_label
_atom_site_fract_x
_atom_site_fract_y
_atom_site_fract_z
K1 0.000 0.500 0.000
Os1 0.000 0.000 0.000
Rh1 0.000 0.000 0.500
Cl1 0.500 0.500 0.500
```



(2)
Diffraction record for LaCuSn4Pd2. The powder X-ray diffraction pattern is simulated, not measured: it uses DFT lattice parameters and positions (GGA-PBE) and Cu Kα (weighted mean of Kα1 and Kα2).
No peak broadening, texture or thermal motion is included.

Largest 8 diffraction maxima, in order of rising 2θ, 2θ from 10° to 90°:
(hkl)	Position (°2θ)	d/Å	intensity
0 1 5	27.14	3.285	15
1 0 7	31.61	2.830	15
0 1 8	34.14	2.627	84
1 1 0	37.89	2.375	100
0 1 11	42.54	2.125	18
2 0 8	51.91	1.761	26
1 2 8	66.04	1.415	25
3 0 0	68.43	1.371	18

```
data_LaCuSn4Pd2
_chemical_formula_sum 'La3 Cu3 Sn12 Pd6'
_symmetry_space_group_name_H-M 'R -3 m'
_symmetry_Int_Tables_number 166
_symmetry_space_group_name_Hall '-R 3 2"'
_cell_length_a 4.7491
_cell_length_b 4.7491
_cell_length_c 27.3051
_cell_angle_alpha 90.00
_cell_angle_beta 90.00
_cell_angle_gamma 120.00
loop_
_atom_site_label
_atom_site_fract_x
_atom_site_fract_y
_atom_site_fract_z
La1 0.0000 0.0000 0.0000
Cu1 0.0000 0.0000 0.5000
Sn1 0.0000 0.0000 0.1314
Sn2 0.0000 0.0000 0.3991
Pd1 0.0000 0.0000 0.2425
```



(3)
Diffraction record for Ac3Pm5Nd. The powder X-ray diffraction pattern is simulated, not measured: it uses DFT lattice parameters and positions (GGA-PBE) and Cu Kα (weighted mean of Kα1 and Kα2).
No peak broadening, texture or thermal motion is included.

Largest 8 diffraction maxima, in order of rising 2θ, 2θ from 10° to 90°:
(hkl)	Position (°2θ)	d/Å	intensity
0 2 0	20.97	4.236	45
2 2 -1	25.32	3.517	31
2 2 1	26.11	3.413	48
4 0 -2	28.28	3.156	100
1 1 -4	30.25	2.955	25
4 0 2	31.10	2.876	40
2 2 3	33.69	2.661	35
4 2 -2	35.49	2.530	22

```
data_Ac3Pm5Nd
_chemical_formula_sum 'Ac12 Pm20 Nd4'
_symmetry_space_group_name_H-M 'C 1 2/m 1'
_symmetry_Int_Tables_number 12
_symmetry_space_group_name_Hall '-C 2y'
_cell_length_a 13.756
_cell_length_b 8.471
_cell_length_c 12.705
_cell_angle_alpha 90.00
_cell_angle_beta 96.32
_cell_angle_gamma 90.00
loop_
_atom_site_label
_atom_site_fract_x
_atom_site_fract_y
_atom_site_fract_z
Ac1 0.000 0.000 0.000
Ac2 0.000 0.000 0.500
Ac3 0.152 0.500 0.215
Ac4 0.224 0.500 0.494
Pm1 0.000 0.336 0.000
Pm2 0.028 0.500 0.636
Pm3 0.123 0.202 0.770
Pm4 0.248 0.500 0.971
Nd1 0.126 0.000 0.257
```



(4)
Diffraction record for LiLa6Tl. The powder X-ray diffraction pattern is simulated, not measured: it uses DFT lattice parameters and positions (GGA-PBE) and Cu Kα (weighted mean of Kα1 and Kα2).
No peak broadening, texture or thermal motion is included.

Largest 8 diffraction maxima, in order of rising 2θ, 2θ from 10° to 90°:
(hkl)	Position (°2θ)	d/Å	intensity
1 0 1	17.35	5.110	13
1 1 4	30.39	2.941	100
2 0 0	33.78	2.653	39
0 0 8	37.99	2.369	12
2 2 0	48.52	1.876	14
2 0 8	51.74	1.767	20
3 1 4	58.34	1.582	31
2 2 8	63.23	1.471	11

```
data_LiLa6Tl
_chemical_formula_sum 'Li2 La12 Tl2'
_symmetry_space_group_name_H-M 'I 4/m m m'
_symmetry_Int_Tables_number 139
_symmetry_space_group_name_Hall '-I 4 2'
_cell_length_a 5.306
_cell_length_b 5.306
_cell_length_c 18.949
_cell_angle_alpha 90.00
_cell_angle_beta 90.00
_cell_angle_gamma 90.00
loop_
_atom_site_label
_atom_site_fract_x
_atom_site_fract_y
_atom_site_fract_z
Li1 0.000 0.000 0.000
La1 0.000 0.000 0.248
La2 0.000 0.500 0.115
Tl1 0.000 0.000 0.500
```